[1]
This entry pairs a crystal structure of Mg2NbPt9 with its theoretical XRD peak list. Radiation: a wavelength of 1.5418 Å. Structure: the GGA-PBE geometry in Alexandria.

Top 10 peaks for 15 to 90 degrees two-theta, sorted by position:
two_theta	I/Imax	hkl
22.38	16	1 0 0
31.86	14	1 1 0
39.28	100	1 1 3
45.64	33	2 0 0
45.75	16	0 0 6
56.77	6	2 1 3
66.58	32	2 2 0
80.07	26	3 1 3
80.24	13	1 1 9
84.48	11	2 2 6

Crystal structure
Lattice parameters (Å, degrees): 3.9755 3.9755 11.8989 90.00 90.00 90.00
Element x y z (fractional)
Mg 0.0000 0.0000 0.1624
Mg 0.0000 0.0000 0.8376
Nb 0.0000 0.0000 0.5000
Pt 0.0000 0.5000 0.0000
Pt 0.0000 0.5000 0.3351
Pt 0.0000 0.5000 0.6649
Pt 0.5000 0.0000 0.0000
Pt 0.5000 0.0000 0.3351
Pt 0.5000 0.0000 0.6649
Pt 0.5000 0.5000 0.1667
Pt 0.5000 0.5000 0.5000
Pt 0.5000 0.5000 0.8333



[2]
This entry pairs a crystal structure of MgNbRh3 with its theoretical XRD peak list. Radiation: a wavelength of 1.5418 Å. Structure: the GGA-PBE geometry in Alexandria.

Top 10 peaks for 15 to 90 degrees two-theta, sorted by position:
two_theta	I/Imax	hkl
25.00	26	0 2 0
28.22	43	2 1 0
30.40	35	1 0 2
37.56	29	0 2 2
38.51	100	2 2 1
39.75	49	1 2 2
40.46	39	0 3 1
40.81	51	3 0 1
43.90	47	1 0 3
48.46	30	3 2 1

Crystal structure
Lattice parameters (Å, degrees): 7.0582 7.1249 6.4675 90.00 90.00 90.00
Element x y z (fractional)
Mg 0.1589 0.2500 0.0963
Mg 0.3411 0.7500 0.5963
Mg 0.6589 0.2500 0.4037
Mg 0.8411 0.7500 0.9037
Nb 0.0000 0.0000 0.5000
Nb 0.0000 0.5000 0.5000
Nb 0.5000 0.0000 0.0000
Nb 0.5000 0.5000 0.0000
Rh 0.1060 0.7500 0.2355
Rh 0.1542 0.5514 0.8658
Rh 0.1542 0.9486 0.8658
Rh 0.3458 0.0514 0.3658
Rh 0.3458 0.4486 0.3658
Rh 0.3940 0.2500 0.7355
Rh 0.6060 0.7500 0.2645
Rh 0.6542 0.5514 0.6342
Rh 0.6542 0.9486 0.6342
Rh 0.8458 0.0514 0.1342
Rh 0.8458 0.4486 0.1342
Rh 0.8940 0.2500 0.7645